No. 1
For Ba3LiRe2N6, DFT lattice parameters and positions (GGA-PBE) gives the computed PXRD pattern in this record (Cu Kα).

Structural model:
abc: 6.1691 6.1691 7.2635
angles: 90.00 90.00 120.00
Space group P-3m1 (No. 164)
One atom of each set of equivalent atoms:
Ba: 0.0000 0.0000 0.0000 x1
Ba: 0.3333 0.6667 0.6735 x2
Li: 0.0000 0.0000 0.5000 x1
Re: 0.3333 0.6667 0.2147 x2
N: 0.1731 0.3463 0.2886 x6

Most intense lines, 10° ≤ 2θ ≤ 90°, in order of falling intensity:
2theta	I/Imax
28.95	100
29.75	80
41.99	39
51.80	34
20.64	33
51.30	21



No. 2
For NaH6CN2ClO2, DFT lattice parameters and positions (GGA-PBE) gives the computed PXRD pattern in this record (Cu Kα).

Structural model:
abc: 18.8131 5.1319 6.6481
angles: 90.00 110.31 90.00
Space group C2 (No. 5)
One atom of each set of equivalent atoms:
Na: 0.0023 0.0000 0.2651 x4
H: 0.0428 0.4746 0.5426 x4
H: 0.0438 0.5681 0.0399 x4
H: 0.1673 0.5134 0.4360 x4
H: 0.1771 0.0376 0.9075 x4
H: 0.2391 0.4287 0.1289 x4
H: 0.2451 0.1062 0.3736 x4
C: 0.1606 0.7836 0.6575 x4
N: 0.1975 0.6272 0.5626 x4
N: 0.2032 0.9335 0.8222 x4
Cl: 0.1191 0.2359 0.1262 x4
O: 0.0000 0.3493 0.5000 x2
O: 0.0000 0.6889 0.0000 x2
O: 0.0884 0.7910 0.5933 x4

Most intense lines, 10° ≤ 2θ ≤ 90°, in order of falling intensity:
2theta	I/Imax
21.88	100
29.84	57
29.96	41
44.60	31
10.03	28
26.82	26



No. 3
For KNd2ZnO5, DFT lattice parameters and positions (GGA-PBE) gives the computed PXRD pattern in this record (Cu Kα).

Structural model:
abc: 6.8283 6.8283 11.6438
angles: 90.00 90.00 90.00
Space group I4/mcm (No. 140)
One atom of each set of equivalent atoms:
K: 0.0000 0.0000 0.2500 x4
Nd: 0.1733 0.3267 0.0000 x8
Zn: 0.0000 0.5000 0.2500 x4
O: 0.0000 0.0000 0.0000 x4
O: 0.1376 0.3624 0.3744 x16

Most intense lines, 10° ≤ 2θ ≤ 90°, in order of falling intensity:
2theta	I/Imax
30.31	100
37.47	53
15.22	38
49.20	24
30.71	23
56.11	20



No. 4
For NaHf6N6Cl6, DFT lattice parameters and positions (GGA-PBE) gives the computed PXRD pattern in this record (Cu Kα).

Structural model:
abc: 6.2652 10.8521 10.4274
angles: 90.00 101.56 90.00
Space group C2/m (No. 12)
One atom of each set of equivalent atoms:
Na: 0.0000 0.0000 0.0000 x2
Hf: 0.2068 0.0000 0.6222 x4
Hf: 0.2075 0.3336 0.6217 x8
N: 0.1374 0.3333 0.4125 x8
N: 0.1379 0.0000 0.4136 x4
Cl: 0.1021 0.1654 0.8099 x8
Cl: 0.1058 0.5000 0.8099 x4

Most intense lines, 10° ≤ 2θ ≤ 90°, in order of falling intensity:
2theta	I/Imax
32.09	100
29.09	59
41.21	42
35.23	38
50.46	34
62.99	29



No. 5
For La4NdIn, DFT lattice parameters and positions (GGA-PBE) gives the computed PXRD pattern in this record (Cu Kα).

Structural model:
abc: 6.2875 7.1534 8.8843
angles: 90.00 91.10 90.00
Space group P2_1/m (No. 11)
One atom of each set of equivalent atoms:
La: 0.0239 0.2500 0.0106 x2
La: 0.1598 0.5081 0.6574 x4
La: 0.3388 0.7500 0.3262 x2
Nd: 0.5000 0.0000 0.0000 x2
In: 0.3430 0.2500 0.3396 x2

Most intense lines, 10° ≤ 2θ ≤ 90°, in order of falling intensity:
2theta	I/Imax
30.36	100
35.40	44
30.18	34
34.64	24
60.52	18
50.26	16